1.
# CaSnS3
Computed PXRD pattern, copper Kα. Input: a cell relaxed with PBE.
Intensities are scaled so that the largest is 100.

Principal peaks in the range 5 to 70 degrees two-theta, sorted by position:
index  2theta  intensity
1 0 1  15.28  100
0 1 2  16.19  23
1 1 0  26.07  45
0 1 8  29.06  28
2 0 5  34.06  21
1 1 9  38.57  44
2 0 8  39.43  31
2 2 0  53.62  24

Structural model:
Cell lengths 6.8370, 6.8370, 28.7527 Å; angles 90.00, 90.00, 120.00 degrees
Space group R-3m (No. 166, hexagonal axes)
One atom of each set of equivalent atoms:
Ca  0.0000  0.0000  0.0000 [3 per cell]
Ca  0.0000  0.0000  0.2585 [6 per cell]
Sn  0.0000  0.0000  0.3918 [6 per cell]
Sn  0.0000  0.0000  0.5000 [3 per cell]
S  0.0000  0.5000  0.0000 [9 per cell]
S  0.0066  0.5033  0.7750 [18 per cell]

---

2.
# Ca4Sn3S10
Computed PXRD pattern, copper Kα. Input: a cell relaxed with PBE.
Intensities are scaled so that the largest is 100.

Principal peaks in the range 5 to 70 degrees two-theta, sorted by position:
index  2theta  intensity
0 0 6  16.06  56
1 0 1  17.86  73
1 1 0  25.07  73
1 0 7  25.87  71
2 0 0  35.75  100
1 0 13  39.67  55
2 1 7  44.65  35
2 1 13  54.46  43

Structural model:
Cell lengths 5.024, 5.024, 33.115 Å; angles 90.00, 90.00, 90.00 degrees
Space group I4/mmm (No. 139)
One atom of each set of equivalent atoms:
Ca  0.000  0.000  0.066 [4 per cell]
Ca  0.000  0.000  0.193 [4 per cell]
Sn  0.000  0.000  0.346 [4 per cell]
Sn  0.000  0.000  0.500 [2 per cell]
S  0.000  0.000  0.275 [4 per cell]
S  0.000  0.000  0.425 [4 per cell]
S  0.000  0.500  0.000 [4 per cell]
S  0.000  0.500  0.137 [8 per cell]

---

3.
# Ca4SnS6
Computed PXRD pattern, copper Kα. Input: a cell relaxed with PBE.
Intensities are scaled so that the largest is 100.

Principal peaks in the range 5 to 70 degrees two-theta, sorted by position:
index  2theta  intensity
1 1 -1  14.20  100
2 0 0  14.33  46
2 0 -2  15.85  59
1 1 1  16.74  42
1 1 -3  23.05  50
1 1 3  27.76  74
0 0 4  28.62  98
1 1 5  41.35  49

Structural model:
Cell lengths 13.385, 7.521, 13.504 Å; angles 90.00, 112.57, 90.00 degrees
Space group Cc (No. 9)
One atom of each set of equivalent atoms:
Ca  0.000  0.108  0.000 [4 per cell]
Ca  0.145  0.388  0.494 [4 per cell]
Ca  0.199  0.129  0.813 [4 per cell]
Ca  0.373  0.181  0.151 [4 per cell]
Sn  0.439  0.278  0.747 [4 per cell]
S  0.051  0.205  0.612 [4 per cell]
S  0.131  0.220  0.303 [4 per cell]
S  0.181  0.258  0.992 [4 per cell]
S  0.351  0.202  0.560 [4 per cell]
S  0.354  0.470  0.289 [4 per cell]
S  0.408  0.019  0.839 [4 per cell]

---

4.
# CaSnS3
Computed PXRD pattern, copper Kα. Input: a cell relaxed with PBE.
Intensities are scaled so that the largest is 100.

Principal peaks in the range 5 to 70 degrees two-theta, sorted by position:
index  2theta  intensity
0 0 2  12.84  53
1 0 2  16.71  44
1 1 1  26.36  64
2 1 1  32.39  46
2 1 2  34.33  100
0 1 5  40.24  41
0 2 0  47.32  34
3 1 4  48.36  36

Structural model:
Cell lengths 8.307, 3.843, 13.791 Å; angles 90.00, 90.00, 90.00 degrees
Space group Pnma (No. 62)
One atom of each set of equivalent atoms:
Ca  0.062  0.250  0.181 [4 per cell]
Sn  0.179  0.750  0.444 [4 per cell]
S  0.018  0.750  0.609 [4 per cell]
S  0.143  0.750  0.010 [4 per cell]
S  0.198  0.250  0.781 [4 per cell]

---

5.
# CaSnS3
Computed PXRD pattern, copper Kα. Input: a cell relaxed with PBE.
Intensities are scaled so that the largest is 100.

Principal peaks in the range 5 to 70 degrees two-theta, sorted by position:
index  2theta  intensity
4 0 -3  17.12  18
3 1 1  18.13  26
1 1 3  23.37  58
7 1 -3  25.15  100
1 1 -4  26.35  18
8 2 0  35.80  55
0 0 7  43.17  22
7 3 -3  44.26  19

Structural model:
Cell lengths 31.307, 7.096, 16.189 Å; angles 90.00, 115.02, 90.00 degrees
Space group C2 (No. 5)
One atom of each set of equivalent atoms:
Ca  0.000  0.000  0.000 [2 per cell]
Ca  0.000  0.442  0.500 [2 per cell]
Ca  0.120  0.562  0.076 [4 per cell]
Ca  0.123  0.594  0.812 [4 per cell]
Ca  0.124  0.046  0.642 [4 per cell]
Ca  0.244  0.645  0.756 [4 per cell]
Ca  0.249  0.602  0.413 [4 per cell]
Sn  0.001  0.123  0.678 [4 per cell]
Sn  0.013  0.609  0.223 [4 per cell]
Sn  0.106  0.068  0.218 [4 per cell]
Sn  0.114  0.074  0.934 [4 per cell]
Sn  0.139  0.553  0.509 [4 per cell]
Sn  0.228  0.102  0.941 [4 per cell]
S  0.012  0.224  0.183 [4 per cell]
S  0.044  0.801  0.672 [4 per cell]
S  0.060  0.756  0.137 [4 per cell]
S  0.061  0.759  0.562 [4 per cell]
S  0.065  0.238  0.453 [4 per cell]
S  0.065  0.319  0.684 [4 per cell]
S  0.071  0.731  0.906 [4 per cell]
S  0.084  0.196  0.053 [4 per cell]
S  0.185  0.401  0.242 [4 per cell]
S  0.186  0.876  0.814 [4 per cell]
S  0.187  0.330  0.655 [4 per cell]
S  0.188  0.837  0.591 [4 per cell]
S  0.190  0.364  0.788 [4 per cell]
S  0.191  0.867  0.266 [4 per cell]
S  0.192  0.431  0.983 [4 per cell]
S  0.194  0.369  0.464 [4 per cell]
S  0.197  0.948  0.046 [4 per cell]
S  0.210  0.642  0.203 [4 per cell]

---

6.
# CaSnS3
Computed PXRD pattern, copper Kα. Input: a cell relaxed with PBE.
Intensities are scaled so that the largest is 100.

Principal peaks in the range 5 to 70 degrees two-theta, sorted by position:
index  2theta  intensity
0 2 0  14.28  57
0 0 2  18.84  49
0 2 2  23.72  100
1 1 0  24.58  58
1 3 0  32.05  92
1 3 2  37.44  93
1 5 2  47.90  48
2 0 0  48.06  71

Structural model:
Cell lengths 3.787, 12.404, 9.422 Å; angles 90.00, 90.00, 90.00 degrees
Space group Cmcm (No. 63)
One atom of each set of equivalent atoms:
Ca  0.000  0.245  0.250 [4 per cell]
Sn  0.000  0.500  0.000 [4 per cell]
S  0.000  0.142  0.547 [8 per cell]
S  0.000  0.420  0.750 [4 per cell]